This entry pairs a crystal structure of Lu3Ge3Ir2 with its calculated X-ray powder pattern. Radiation: Cu Kα, 1.54184 Å. Structure: the PBE geometry in the Materials Project.
Intensities are scaled so that the largest is 100.

Main lines, in order of rising 2θ (2θ = 5–70°):
Position (°2θ)	d/Å	Rel. int.
34.07	2.631	100
35.51	2.528	15
38.27	2.352	15
38.71	2.326	36
39.98	2.255	18
42.19	2.142	34
42.40	2.132	31
57.21	1.610	14
58.21	1.585	18
59.52	1.553	12

Structure:
```
data_Lu3Ge3Ir2
_cell_length_a 4.284
_cell_length_b 10.279
_cell_length_c 14.112
_cell_angle_alpha 90.00
_cell_angle_beta 90.00
_cell_angle_gamma 90.00
_space_group_name_H-M_alt 'C m c m'
_space_group_IT_number 63
_space_group_name_Hall '-C 2c 2'
loop_
_atom_site_label
_atom_site_type_symbol
_atom_site_fract_x
_atom_site_fract_y
_atom_site_fract_z
_atom_site_occupancy
Lu1 Lu 0.000 0.084 0.110 1
Lu2 Lu 0.000 0.357 0.250 1
Ge1 Ge 0.000 0.348 0.750 1
Ge2 Ge 0.000 0.378 0.035 1
Ir1 Ir 0.000 0.200 0.603 1
```